Structure and theoretical XRD peak list of SmP3Os3 (a crystal structure in Alexandria, relaxed with PBE; Cu Kα X-rays).

Crystal structure
abc: 6.4430 6.4430 6.4430
angles: 90.00 90.00 90.00
Space group Pm-3n (No. 223)
Symmetry-distinct sites (fractional):
Sm: 0.0000 0.0000 0.0000 [2 per cell]
P: 0.0000 0.2500 0.5000 [6 per cell]
Os: 0.0000 0.5000 0.2500 [6 per cell]

Main lines, in order of rising 2θ (15 to 90 degrees two-theta):
- d = 3.221 Å, intensity 43, hkl 2 0 0
- d = 2.881 Å, intensity 91, hkl 2 1 0
- d = 2.630 Å, intensity 100, hkl 2 1 1
- d = 1.860 Å, intensity 22, hkl 2 2 2
- d = 1.787 Å, intensity 24, hkl 3 2 0
- d = 1.722 Å, intensity 56, hkl 3 2 1
- d = 1.611 Å, intensity 27, hkl 4 0 0
- d = 1.406 Å, intensity 22, hkl 4 2 1